Entry 1:
# Y5Fe2I2
Calculated powder diffractogram, Cu Kα (λ = 1.5418 Å). Input: a GGA-PBE-relaxed structure.
Peak positions follow from Bragg's law for the DFT cell and can differ from measured ones.

Cell and atoms:
a b c (Å): 16.851 7.654 7.652
angles (deg): 90.00 90.00 90.00
Space group Cmce (No. 64)
Inequivalent atoms, fractional coordinates:
Y  0.000  0.000  0.000
Y  0.108  0.164  0.336
Fe  0.000  0.117  0.616
I  0.217  0.000  0.000

Most intense lines, 15° ≤ 2θ ≤ 90°, low angle first:
- d 3.484, 2θ = 25.57°, intensity 21
- d 2.923, 2θ = 30.59°, intensity 20
- d 2.861, 2θ = 31.27°, intensity 53
- d 2.833, 2θ = 31.59°, intensity 84
- d 2.706, 2θ = 33.11°, intensity 36
- d 2.657, 2θ = 33.74°, intensity 41
- d 2.398, 2θ = 37.51°, intensity 100
- d 1.590, 2θ = 57.99°, intensity 31
- d 1.481, 2θ = 62.74°, intensity 39
- d 1.371, 2θ = 68.42°, intensity 20


Entry 2:
# LuO3
Calculated powder diffractogram, Cu Kα (λ = 1.5418 Å). Input: a GGA-PBE-relaxed structure.
Peak positions follow from Bragg's law for the DFT cell and can differ from measured ones.

Cell and atoms:
a b c (Å): 7.446 7.446 7.446
angles (deg): 90.00 90.00 90.00
Space group Im-3 (No. 204)
Inequivalent atoms, fractional coordinates:
Lu  0.250  0.250  0.250
O  0.000  0.318  0.099

Most intense lines, 15° ≤ 2θ ≤ 90°, low angle first:
- d 3.723, 2θ = 23.90°, intensity 100
- d 2.633, 2θ = 34.05°, intensity 84
- d 2.150, 2θ = 42.03°, intensity 39
- d 1.862, 2θ = 48.93°, intensity 17
- d 1.665, 2θ = 55.16°, intensity 51
- d 1.520, 2θ = 60.95°, intensity 37
- d 1.316, 2θ = 71.70°, intensity 10
- d 1.241, 2θ = 76.80°, intensity 21
- d 1.177, 2θ = 81.80°, intensity 16
- d 1.123, 2θ = 86.74°, intensity 13


Entry 3:
# CaCuCl4
Calculated powder diffractogram, Cu Kα (λ = 1.5418 Å). Input: a GGA-PBE-relaxed structure.
Peak positions follow from Bragg's law for the DFT cell and can differ from measured ones.

Cell and atoms:
a b c (Å): 7.391 6.284 7.679
angles (deg): 90.00 119.48 90.00
Space group P2_1/c (No. 14)
Inequivalent atoms, fractional coordinates:
Ca  0.000  0.000  0.000
Cu  0.500  0.000  0.500
Cl  0.183  0.187  0.371
Cl  0.353  0.724  0.734

Most intense lines, 15° ≤ 2θ ≤ 90°, low angle first:
- d 4.519, 2θ = 19.65°, intensity 100
- d 3.275, 2θ = 27.23°, intensity 14
- d 3.250, 2θ = 27.45°, intensity 19
- d 2.888, 2θ = 30.97°, intensity 25
- d 2.864, 2θ = 31.23°, intensity 25
- d 2.342, 2θ = 38.43°, intensity 17
- d 2.289, 2θ = 39.36°, intensity 30
- d 2.258, 2θ = 39.93°, intensity 32
- d 2.248, 2θ = 40.11°, intensity 23
- d 1.834, 2θ = 49.72°, intensity 18


Entry 4:
# Al13Mo2
Calculated powder diffractogram, Cu Kα (λ = 1.5418 Å). Input: a GGA-PBE-relaxed structure.
Peak positions follow from Bragg's law for the DFT cell and can differ from measured ones.

Cell and atoms:
a b c (Å): 5.383 7.162 7.247
angles (deg): 118.21 92.62 94.48
Space group P-1 (No. 2)
Inequivalent atoms, fractional coordinates:
Al  0.000  0.000  0.000
Al  0.070  0.877  0.310
Al  0.083  0.486  0.678
Al  0.251  0.466  0.027
Al  0.332  0.341  0.340
Al  0.434  0.835  0.021
Al  0.436  0.193  0.632
Mo  0.242  0.829  0.654

Most intense lines, 15° ≤ 2θ ≤ 90°, low angle first:
- d 4.315, 2θ = 20.58°, intensity 34
- d 4.294, 2θ = 20.68°, intensity 36
- d 2.625, 2θ = 34.15°, intensity 32
- d 2.579, 2θ = 34.78°, intensity 71
- d 2.296, 2θ = 39.24°, intensity 100
- d 2.184, 2θ = 41.35°, intensity 67
- d 2.170, 2θ = 41.62°, intensity 66
- d 2.119, 2θ = 42.67°, intensity 64
- d 2.107, 2θ = 42.92°, intensity 65
- d 2.091, 2θ = 43.28°, intensity 37


Entry 5:
# Sr3CeAl8
Calculated powder diffractogram, Cu Kα (λ = 1.5418 Å). Input: a GGA-PBE-relaxed structure.
Peak positions follow from Bragg's law for the DFT cell and can differ from measured ones.

Cell and atoms:
a b c (Å): 5.8207 5.8207 9.4166
angles (deg): 90.00 90.00 120.00
Space group P3m1 (No. 156)
Inequivalent atoms, fractional coordinates:
Sr  0.0000  0.0000  0.0000
Sr  0.0000  0.0000  0.3671
Sr  0.3333  0.6667  0.8658
Ce  0.3333  0.6667  0.5057
Al  0.0100  0.5050  0.1905
Al  0.3274  0.1637  0.6775
Al  0.6667  0.3333  0.4359
Al  0.6667  0.3333  0.9405

Most intense lines, 15° ≤ 2θ ≤ 90°, low angle first:
- d 5.041, 2θ = 17.59°, intensity 28
- d 4.444, 2θ = 19.98°, intensity 27
- d 2.910, 2θ = 30.72°, intensity 70
- d 2.665, 2θ = 33.64°, intensity 100
- d 2.476, 2θ = 36.29°, intensity 75
- d 2.435, 2θ = 36.92°, intensity 44
- d 1.629, 2θ = 56.50°, intensity 42
- d 1.509, 2θ = 61.46°, intensity 21
- d 1.455, 2θ = 63.98°, intensity 19
- d 1.277, 2θ = 74.26°, intensity 20


Entry 6:
# Ce2Sn3Bi
Calculated powder diffractogram, Cu Kα (λ = 1.5418 Å). Input: a GGA-PBE-relaxed structure.
Peak positions follow from Bragg's law for the DFT cell and can differ from measured ones.

Cell and atoms:
a b c (Å): 20.010 4.363 8.955
angles (deg): 90.00 115.53 90.00
Space group C2/m (No. 12)
Inequivalent atoms, fractional coordinates:
Ce  0.022  0.000  0.371
Ce  0.242  0.000  0.800
Sn  0.079  0.500  0.165
Sn  0.124  0.000  0.987
Sn  0.194  0.000  0.396
Bi  0.111  0.500  0.681

Most intense lines, 15° ≤ 2θ ≤ 90°, low angle first:
- d 3.072, 2θ = 29.07°, intensity 25
- d 2.972, 2θ = 30.06°, intensity 22
- d 2.950, 2θ = 30.30°, intensity 53
- d 2.786, 2θ = 32.13°, intensity 100
- d 2.759, 2θ = 32.45°, intensity 27
- d 2.654, 2θ = 33.77°, intensity 11
- d 2.491, 2θ = 36.06°, intensity 14
- d 2.182, 2θ = 41.39°, intensity 41
- d 1.409, 2θ = 66.36°, intensity 12
- d 1.349, 2θ = 69.69°, intensity 12